1.
# Al6V2Cu
Computed powder diffraction line list, λ = 1.5418 Å (Cu Kα). Input: DFT lattice parameters and positions (PBE).
No peak broadening, texture or thermal motion is included.

The 8 most intense peaks (10 to 90 degrees two-theta), low angle first:
d_spacing  Rel. int.
3.809  53
2.596  91
2.261  59
2.109  90
2.089  100
1.896  28
1.891  27
1.178  20

Structure:
Lattice parameters (Å, degrees): 7.6472 7.6472 2.8524 90.14 90.14 55.04
Element x y z (fractional)
Al 0.1566 0.5234 0.5007
Al 0.1875 0.8125 0.0000
Al 0.4766 0.8434 0.4993
Al 0.5234 0.1566 0.5007
Al 0.8125 0.1875 0.0000
Al 0.8434 0.4766 0.4993
V 0.1863 0.1863 0.9995
V 0.8137 0.8137 0.0005
Cu 0.5000 0.5000 0.5000

***

2.
# ErFe12Si6
Computed powder diffraction line list, λ = 1.5418 Å (Cu Kα). Input: DFT lattice parameters and positions (PBE).
No peak broadening, texture or thermal motion is included.

The 8 most intense peaks (10 to 90 degrees two-theta), low angle first:
d_spacing  Rel. int.
3.125  17
3.000  18
2.380  100
2.353  54
2.111  28
1.812  19
1.638  28
1.337  16

Structure:
Lattice parameters (Å, degrees): 6.5542 6.5542 6.5542 104.87 104.87 104.87
Element x y z (fractional)
Er 0.0000 0.0000 0.0000
Fe 0.1209 0.5000 0.8791
Fe 0.1209 0.8791 0.5000
Fe 0.1638 0.4297 0.4297
Fe 0.4297 0.1638 0.4297
Fe 0.4297 0.4297 0.1638
Fe 0.5000 0.1209 0.8791
Fe 0.5000 0.8791 0.1209
Fe 0.5703 0.5703 0.8362
Fe 0.5703 0.8362 0.5703
Fe 0.8362 0.5703 0.5703
Fe 0.8791 0.1209 0.5000
Fe 0.8791 0.5000 0.1209
Si 0.2491 0.2491 0.7113
Si 0.2491 0.7113 0.2491
Si 0.2887 0.7509 0.7509
Si 0.7113 0.2491 0.2491
Si 0.7509 0.2887 0.7509
Si 0.7509 0.7509 0.2887